Starting from the GGA-PBE geometry in Alexandria, the powder XRD pattern of CdCoI2 was calculated for CuKα.
No peak broadening, texture or thermal motion is included.

The 8 most intense peaks (2θ = 10–80°), low angle first:
2θ 24.8, intensity 100
2θ 27.8, intensity 44
2θ 33.2, intensity 26
2θ 36.6, intensity 12
2θ 41.9, intensity 26
2θ 43.8, intensity 11
2θ 44.6, intensity 34
2θ 51.8, intensity 13

Cell lengths 7.627, 7.627, 9.598 Å; angles 90.00, 90.00, 90.00 degrees
Space group I-42d (No. 122)
Symmetry-distinct sites (fractional):
Cd1 0.000 0.000 0.000 x4
Co1 0.000 0.000 0.500 x4
I1 0.163 0.250 0.625 x8

---

Starting from the GGA-PBE geometry in Alexandria, the powder XRD pattern of SrCdInCoP was calculated for CuKα.
No peak broadening, texture or thermal motion is included.

The 8 most intense peaks (2θ = 10–80°), low angle first:
2θ 26.7, intensity 23
2θ 28.6, intensity 11
2θ 33.6, intensity 100
2θ 40.7, intensity 13
2θ 47.2, intensity 32
2θ 59.1, intensity 19
2θ 63.9, intensity 16
2θ 78.8, intensity 16

Cell lengths 3.8547, 3.8547, 8.9044 Å; angles 90.00, 90.00, 120.00 degrees
Space group P3m1 (No. 156)
Symmetry-distinct sites (fractional):
Sr1 0.0000 0.0000 0.0000 x1
Cd1 0.6667 0.3333 0.7028 x1
In1 0.0000 0.0000 0.4584 x1
Co1 0.6667 0.3333 0.2680 x1
P1 0.3333 0.6667 0.2410 x1

---

Starting from the GGA-PBE geometry in Alexandria, the powder XRD pattern of SrCdIn2Co was calculated for CuKα.
No peak broadening, texture or thermal motion is included.

The 8 most intense peaks (2θ = 10–80°), low angle first:
2θ 30.8, intensity 100
2θ 35.1, intensity 31
2θ 36.0, intensity 58
2θ 51.2, intensity 41
2θ 51.9, intensity 20
2θ 60.3, intensity 14
2θ 61.6, intensity 27
2θ 64.2, intensity 20

Cell lengths 4.985, 4.985, 5.118 Å; angles 90.00, 90.00, 90.00 degrees
Space group P4/mmm (No. 123)
Symmetry-distinct sites (fractional):
Sr1 0.000 0.000 0.000 x1
Cd1 0.500 0.500 0.000 x1
In1 0.000 0.500 0.500 x2
Co1 0.500 0.500 0.500 x1